Entry 1:
Structure and simulated XRD peak list of Lu3Bi2S (a PBE-relaxed structure; Cu Kα (weighted mean of Kα1 and Kα2)).
Lines closer than 0.1° are merged.

```
Lu3Bi2S
1.0
4.211 0.000 0.000
-2.106 3.647 0.000
0.000 0.000 10.330
Lu Bi S
3 2 1
direct
0.000 0.000 0.000
0.333 0.667 0.637
0.667 0.333 0.363
0.333 0.667 0.181
0.667 0.333 0.819
0.000 0.000 0.500
```

The 8 most intense peaks (10 to 80 degrees two-theta), most intense first:
29.99 deg, I = 100
42.93 deg, I = 69
70.72 deg, I = 28
53.26 deg, I = 24
35.87 deg, I = 14
78.67 deg, I = 13
25.91 deg, I = 11
63.03 deg, I = 11


Entry 2:
Structure and simulated XRD peak list of LuSi2Bi (a PBE-relaxed structure; Cu Kα (weighted mean of Kα1 and Kα2)).
Lines closer than 0.1° are merged.

```
LuSi2Bi
1.0
4.289 0.000 0.000
-2.144 3.714 0.000
0.000 0.000 6.927
Lu Si Bi
1 2 1
direct
0.000 0.000 0.000
0.333 0.667 0.816
0.667 0.333 0.220
0.333 0.667 0.425
```

The 8 most intense peaks (10 to 80 degrees two-theta), most intense first:
27.24 deg, I = 100
35.44 deg, I = 37
42.14 deg, I = 32
46.30 deg, I = 25
23.96 deg, I = 25
50.03 deg, I = 20
25.72 deg, I = 19
50.91 deg, I = 19


Entry 3:
Structure and simulated XRD peak list of SmLuBi (a PBE-relaxed structure; Cu Kα (weighted mean of Kα1 and Kα2)).
Lines closer than 0.1° are merged.

```
SmLuBi
1.0
7.312 0.000 0.000
0.000 7.312 0.000
0.000 0.000 7.312
Sm Lu Bi
4 4 4
direct
0.000 0.000 0.000
0.000 0.500 0.500
0.500 0.000 0.500
0.500 0.500 0.000
0.000 0.000 0.500
0.000 0.500 0.000
0.500 0.000 0.000
0.500 0.500 0.500
0.250 0.250 0.750
0.250 0.750 0.250
0.750 0.250 0.250
0.750 0.750 0.750
```

The 8 most intense peaks (10 to 80 degrees two-theta), most intense first:
34.70 deg, I = 100
62.20 deg, I = 38
21.04 deg, I = 35
40.94 deg, I = 20
49.89 deg, I = 18
73.23 deg, I = 12
54.72 deg, I = 9
77.18 deg, I = 7


Entry 4:
Structure and simulated XRD peak list of Lu9BiTe (a PBE-relaxed structure; Cu Kα (weighted mean of Kα1 and Kα2)).
Lines closer than 0.1° are merged.

```
Lu9BiTe
1.0
4.107 -8.257 0.000
4.107 8.257 0.000
0.000 0.000 18.444
Lu Bi Te
36 4 4
direct
0.016 0.984 0.500
0.022 0.543 0.272
0.046 0.394 0.079
0.069 0.931 0.296
0.137 0.863 0.735
0.183 0.817 0.133
0.205 0.231 0.659
0.205 0.352 0.351
0.224 0.776 0.911
0.231 0.205 0.159
0.263 0.737 0.428
0.325 0.675 0.641
0.352 0.205 0.851
0.388 0.612 0.196
0.394 0.046 0.579
0.423 0.577 0.789
0.457 0.978 0.272
0.474 0.526 0.018
0.526 0.474 0.518
0.543 0.022 0.772
0.577 0.423 0.289
0.606 0.954 0.079
0.612 0.388 0.696
0.648 0.795 0.351
0.675 0.325 0.141
0.737 0.263 0.928
0.769 0.795 0.659
0.776 0.224 0.411
0.795 0.648 0.851
0.795 0.769 0.159
0.817 0.183 0.633
0.863 0.137 0.235
0.931 0.069 0.796
0.954 0.606 0.579
0.978 0.457 0.772
0.984 0.016 0.000
0.122 0.382 0.515
0.382 0.122 0.015
0.618 0.878 0.515
0.878 0.618 0.015
0.135 0.376 0.914
0.376 0.135 0.414
0.624 0.865 0.914
0.865 0.624 0.414
```

The 8 most intense peaks (10 to 80 degrees two-theta), most intense first:
31.09 deg, I = 100
32.24 deg, I = 65
34.44 deg, I = 43
34.02 deg, I = 42
35.76 deg, I = 35
44.10 deg, I = 22
58.02 deg, I = 15
60.66 deg, I = 13


Entry 5:
Structure and simulated XRD peak list of Tm2LuBi3 (a PBE-relaxed structure; Cu Kα (weighted mean of Kα1 and Kα2)).
Lines closer than 0.1° are merged.

```
Tm2LuBi3
1.0
4.414 0.000 0.000
-2.207 3.822 0.000
0.000 0.000 10.836
Tm Lu Bi
2 1 3
direct
0.333 0.667 0.333
0.667 0.333 0.667
0.000 0.000 0.000
0.000 0.000 0.500
0.333 0.667 0.834
0.667 0.333 0.166
```

The 8 most intense peaks (10 to 80 degrees two-theta), most intense first:
28.58 deg, I = 100
40.86 deg, I = 78
67.00 deg, I = 37
50.65 deg, I = 21
74.44 deg, I = 21
59.16 deg, I = 13
50.54 deg, I = 7
74.29 deg, I = 7


Entry 6:
Structure and simulated XRD peak list of Mg2NbBi3Pt3 (a PBE-relaxed structure; Cu Kα (weighted mean of Kα1 and Kα2)).
Lines closer than 0.1° are merged.

```
Mg2NbBi3Pt3
1.0
3.972 -6.868 0.000
3.972 6.868 0.000
-2.648 0.000 7.472
Mg Nb Bi Pt
4 2 6 6
direct
0.083 0.917 0.500
0.246 0.742 0.000
0.742 0.246 0.500
0.917 0.083 0.000
0.412 0.577 0.497
0.577 0.412 0.997
0.149 0.327 0.751
0.327 0.149 0.251
0.497 0.988 0.751
0.673 0.842 0.244
0.842 0.673 0.744
0.988 0.497 0.251
0.053 0.220 0.378
0.220 0.053 0.878
0.374 0.856 0.377
0.535 0.684 0.864
0.684 0.535 0.364
0.856 0.374 0.877
```

The 8 most intense peaks (10 to 80 degrees two-theta), most intense first:
39.34 deg, I = 100
23.80 deg, I = 56
46.49 deg, I = 32
71.37 deg, I = 20
23.76 deg, I = 19
56.86 deg, I = 17
71.27 deg, I = 14
62.53 deg, I = 10


Entry 7:
Structure and simulated XRD peak list of Mg4Ni5Bi4 (a PBE-relaxed structure; Cu Kα (weighted mean of Kα1 and Kα2)).
Lines closer than 0.1° are merged.

```
Mg4Ni5Bi4
1.0
2.225 1.285 14.406
-2.225 1.285 14.406
0.000 -2.570 14.406
Mg Ni Bi
4 5 4
direct
0.000 0.000 0.000
0.246 0.246 0.246
0.498 0.498 0.498
0.749 0.749 0.749
0.185 0.185 0.185
0.311 0.311 0.311
0.436 0.436 0.436
0.684 0.684 0.684
0.936 0.936 0.936
0.123 0.123 0.123
0.374 0.374 0.374
0.621 0.621 0.621
0.872 0.872 0.872
```

The 8 most intense peaks (10 to 80 degrees two-theta), most intense first:
24.52 deg, I = 100
40.54 deg, I = 78
40.79 deg, I = 75
28.45 deg, I = 45
48.06 deg, I = 35
24.72 deg, I = 33
73.91 deg, I = 26
58.86 deg, I = 26


Entry 8:
Structure and simulated XRD peak list of MgNi2Bi4 (a PBE-relaxed structure; Cu Kα (weighted mean of Kα1 and Kα2)).
Lines closer than 0.1° are merged.

```
MgNi2Bi4
1.0
2.026 -6.686 0.000
2.026 6.686 0.000
0.000 0.000 12.770
Mg Ni Bi
2 4 8
direct
0.203 0.797 0.750
0.797 0.203 0.250
0.011 0.989 0.750
0.395 0.605 0.750
0.605 0.395 0.250
0.989 0.011 0.250
0.158 0.842 0.117
0.158 0.842 0.383
0.436 0.564 0.116
0.436 0.564 0.384
0.564 0.436 0.616
0.564 0.436 0.884
0.842 0.158 0.617
0.842 0.158 0.883
```

The 8 most intense peaks (10 to 80 degrees two-theta), most intense first:
31.20 deg, I = 100
41.31 deg, I = 76
34.10 deg, I = 66
27.95 deg, I = 60
23.98 deg, I = 60
27.58 deg, I = 57
29.80 deg, I = 56
44.71 deg, I = 53